Computed powder XRD pattern of Tb4ZrAl15 for CuKα, from a crystal structure in Alexandria, relaxed with GGA-PBE.

Structural model:
```
20
Lattice="3.0224 1.7450 12.0181 -3.0224 1.7450 12.0181 0.0000 -3.4900 12.0181" Properties=species:S:1:pos:R:3 pbc="T T T"
Tb 0.0000 0.0000 3.6154
Tb 0.0000 0.0000 13.3073
Tb 0.0000 0.0000 22.7471
Tb 0.0000 0.0000 32.4390
Zr 0.0000 0.0000 18.0272
Al -3.0224 0.0000 18.0272
Al -1.5112 0.8725 6.0091
Al -1.6433 -0.9488 15.7008
Al 0.0000 -1.7275 10.8270
Al -1.4961 0.8637 10.8270
Al -1.4961 -0.8638 25.2274
Al 0.0000 -1.8975 20.3537
Al -1.6433 0.9488 20.3537
Al 1.5112 0.8725 6.0091
Al 1.6433 -0.9488 15.7008
Al 0.0000 1.8976 15.7008
Al 1.4961 0.8638 10.8270
Al 1.4961 -0.8638 25.2275
Al 0.0000 1.7275 25.2275
Al 1.6433 0.9488 20.3537
```

Top 10 peaks for 10° ≤ 2θ ≤ 80°, low angle first:
2θ/deg, I_rel
19.61, 100
24.24, 61
26.09, 58
29.55, 86
35.72, 70
37.41, 55
38.58, 63
39.83, 68
48.38, 44
74.11, 42